For Sr2NdMn2O7, a structure optimized by DFT (PBE+U) gives the theoretical powder diffraction line list in this record (Cu Kα X-rays).

Main lines, by intensity (15° ≤ 2θ ≤ 90°):
2theta  I (rel.)
31.91  100
32.30  69
46.33  42
57.36  38
42.35  26
66.71  14
56.62  14
45.17  13

Unit cell a=10.411 b=10.411 c=10.411 alpha=158.30 beta=158.30 gamma=30.88
Positions (direct):
Sr: 0.000 0.000 0.000
Sr: 0.177 0.177 0.000
Nd: 0.813 0.813 0.000
Mn: 0.398 0.398 0.000
Mn: 0.594 0.594 0.000
O: 0.092 0.592 0.500
O: 0.298 0.298 0.000
O: 0.390 0.890 0.500
O: 0.493 0.493 0.000
O: 0.592 0.092 0.500
O: 0.697 0.697 0.000
O: 0.890 0.390 0.500